For Sr10Nb5N5O14, DFT lattice parameters and positions (PBE) gives the simulated X-ray powder pattern in this record (a wavelength of 1.5418 Å).
Neutral-atom scattering factors, no anomalous dispersion.

Top 10 peaks for 2θ from 10° to 80°, low angle first:
2θ = 13.90°, I 21
2θ = 30.26°, I 68
2θ = 30.48°, I 68
2θ = 30.98°, I 100
2θ = 42.58°, I 19
2θ = 44.07°, I 26
2θ = 44.69°, I 24
2θ = 53.58°, I 26
2θ = 54.53°, I 27
2θ = 54.92°, I 27

Atomic structure:
Cell lengths 12.839, 12.739, 9.097 Å; angles 90.00, 134.47, 90.00 degrees
Space group C2/m (No. 12)
Symmetry-distinct sites (fractional):
1 Sr 0.000 0.143 0.000
2 Sr 0.098 0.357 0.403
3 Sr 0.202 0.147 0.798
4 Nb 0.000 0.500 0.000
5 Nb 0.100 0.000 0.399
6 Nb 0.200 0.500 0.802
7 N 0.000 0.500 0.500
8 N 0.105 0.000 0.891
9 N 0.207 0.500 0.298
10 O 0.000 0.337 0.000
11 O 0.089 0.161 0.411
12 O 0.091 0.500 0.887
13 O 0.192 0.000 0.293
14 O 0.206 0.339 0.796

For YNb2NO5, DFT lattice parameters and positions (PBE) gives the simulated X-ray powder pattern in this record (a wavelength of 1.5418 Å).
Neutral-atom scattering factors, no anomalous dispersion.

Top 10 peaks for 2θ from 10° to 80°, low angle first:
2θ = 23.53°, I 24
2θ = 28.76°, I 52
2θ = 28.97°, I 100
2θ = 29.07°, I 50
2θ = 31.11°, I 25
2θ = 33.60°, I 19
2θ = 35.77°, I 16
2θ = 51.34°, I 14
2θ = 60.05°, I 13
2θ = 60.28°, I 15

Atomic structure:
Cell lengths 5.334, 5.750, 15.062 Å; angles 89.86, 89.54, 89.55 degrees
Space group P-1 (No. 2)
Symmetry-distinct sites (fractional):
1 Y 0.247 0.268 0.499
2 Y 0.250 0.766 0.999
3 Nb 0.177 0.807 0.662
4 Nb 0.205 0.322 0.839
5 Nb 0.311 0.807 0.332
6 Nb 0.324 0.316 0.165
7 N 0.085 0.583 0.586
8 N 0.477 0.438 0.907
9 O 0.026 0.429 0.094
10 O 0.033 0.935 0.409
11 O 0.081 0.093 0.917
12 O 0.142 0.631 0.242
13 O 0.152 0.135 0.261
14 O 0.359 0.644 0.760
15 O 0.374 0.151 0.743
16 O 0.418 0.085 0.084
17 O 0.418 0.589 0.415
18 O 0.470 0.943 0.593

For YNb2NO5, DFT lattice parameters and positions (PBE) gives the simulated X-ray powder pattern in this record (a wavelength of 1.5418 Å).
Neutral-atom scattering factors, no anomalous dispersion.

Top 10 peaks for 2θ from 10° to 80°, low angle first:
2θ = 23.52°, I 12
2θ = 25.68°, I 9
2θ = 28.95°, I 100
2θ = 31.07°, I 12
2θ = 33.66°, I 9
2θ = 46.46°, I 9
2θ = 48.10°, I 13
2θ = 49.93°, I 11
2θ = 51.25°, I 9
2θ = 60.15°, I 13

Atomic structure:
Cell lengths 5.757, 5.325, 15.059 Å; angles 90.00, 90.07, 90.00 degrees
Space group P2_1 (No. 4)
Symmetry-distinct sites (fractional):
1 Y 0.013 0.000 0.252
2 Y 0.479 0.504 0.250
3 Nb 0.067 0.947 0.916
4 Nb 0.076 0.079 0.586
5 Nb 0.439 0.554 0.587
6 Nb 0.452 0.432 0.913
7 N 0.317 0.282 0.657
8 N 0.327 0.837 0.165
9 O 0.102 0.632 0.994
10 O 0.108 0.395 0.508
11 O 0.151 0.338 0.166
12 O 0.159 0.670 0.336
13 O 0.190 0.225 0.841
14 O 0.190 0.783 0.657
15 O 0.316 0.729 0.844
16 O 0.333 0.175 0.335
17 O 0.383 0.895 0.508
18 O 0.385 0.107 0.988

For YNb2NO5, DFT lattice parameters and positions (PBE) gives the simulated X-ray powder pattern in this record (a wavelength of 1.5418 Å).
Neutral-atom scattering factors, no anomalous dispersion.

Top 10 peaks for 2θ from 10° to 80°, low angle first:
2θ = 23.51°, I 15
2θ = 28.93°, I 100
2θ = 29.03°, I 32
2θ = 31.02°, I 16
2θ = 33.71°, I 12
2θ = 35.81°, I 11
2θ = 48.09°, I 16
2θ = 49.92°, I 8
2θ = 50.87°, I 10
2θ = 60.17°, I 14

Atomic structure:
Cell lengths 5.317, 5.766, 15.048 Å; angles 90.00, 89.85, 89.71 degrees
Space group P1 (No. 1)
Symmetry-distinct sites (fractional):
1 Y 0.000 0.000 0.000
2 Y 0.000 0.492 0.499
3 Y 0.505 0.538 0.998
4 Y 0.513 0.029 0.496
5 Nb 0.059 0.945 0.664
6 Nb 0.073 0.466 0.836
7 Nb 0.427 0.086 0.167
8 Nb 0.459 0.582 0.339
9 Nb 0.557 0.081 0.832
10 Nb 0.574 0.560 0.661
11 Nb 0.942 0.453 0.166
12 Nb 0.944 0.955 0.328
13 N 0.109 0.138 0.234
14 N 0.167 0.685 0.913
15 N 0.670 0.339 0.584
16 N 0.731 0.698 0.404
17 O 0.107 0.638 0.253
18 O 0.169 0.162 0.582
19 O 0.221 0.341 0.086
20 O 0.233 0.834 0.401
21 O 0.277 0.202 0.907
22 O 0.278 0.695 0.592
23 O 0.334 0.353 0.415
24 O 0.336 0.863 0.083
25 O 0.374 0.910 0.742
26 O 0.398 0.397 0.760
27 O 0.611 0.406 0.237
28 O 0.617 0.909 0.254
29 O 0.667 0.862 0.914
30 O 0.714 0.216 0.088
31 O 0.773 0.331 0.903
32 O 0.782 0.821 0.589
33 O 0.835 0.681 0.083
34 O 0.837 0.176 0.411
35 O 0.873 0.114 0.754
36 O 0.898 0.628 0.736